Calculated powder diffractogram of Ta4NbV for λ = 1.5418 Å (Cu Kα), from a DFT-relaxed cell (GGA-PBE, Alexandria).
Intensities are scaled so that the largest is 100.

Peak list (6 most intense, 15° ≤ 2θ ≤ 90°, by angle)
d (Å)	2theta	I_rel
3.101	28.8	16
2.316	38.9	100
2.311	39.0	50
1.634	56.3	17
1.338	70.4	17
1.335	70.5	34

Atomic structure:
Cell lengths 10.3794, 3.2688, 6.5327 Å; angles 90.00, 108.40, 90.00 degrees
Fractional coordinates of all 12 atoms:
Ta 0.1616 0.0000 0.3241
Ta 0.1623 0.0000 0.8378
Ta 0.3377 0.5000 0.1622
Ta 0.3384 0.5000 0.6759
Ta 0.6616 0.5000 0.3241
Ta 0.6623 0.5000 0.8378
Ta 0.8377 0.0000 0.1622
Ta 0.8384 0.0000 0.6759
Nb 0.0000 0.5000 0.5000
Nb 0.5000 0.0000 0.5000
V 0.0000 0.5000 0.0000
V 0.5000 0.0000 0.0000



Calculated powder diffractogram of Ta3Nb3V for λ = 1.5418 Å (Cu Kα), from a DFT-relaxed cell (GGA-PBE, Alexandria).
Intensities are scaled so that the largest is 100.

Peak list (6 most intense, 15° ≤ 2θ ≤ 90°, by angle)
d (Å)	2theta	I_rel
2.603	34.5	100
2.405	37.4	90
2.348	38.3	95
2.321	38.8	85
2.245	40.2	72
2.135	42.3	84

Atomic structure:
Cell lengths 6.9197, 6.9197, 5.4444 Å; angles 90.00, 90.00, 95.69 degrees
Fractional coordinates of all 14 atoms:
Ta 0.1700 0.8300 0.7500
Ta 0.2385 0.2385 0.0000
Ta 0.2385 0.2385 0.5000
Ta 0.7615 0.7615 0.0000
Ta 0.7615 0.7615 0.5000
Ta 0.8300 0.1700 0.2500
Nb 0.1009 0.5656 0.2500
Nb 0.4314 0.5686 0.7500
Nb 0.4344 0.8991 0.2500
Nb 0.5656 0.1009 0.7500
Nb 0.5686 0.4314 0.2500
Nb 0.8991 0.4344 0.7500
V 0.0716 0.9284 0.2500
V 0.9284 0.0716 0.7500